(1)
Starting from DFT lattice parameters and positions (PBE), the X-ray powder pattern of MgCd4Tc4O12 was simulated for Cu Kα X-rays.

Unit cell a=5.571 b=7.985 c=5.703 alpha=90.00 beta=91.54 gamma=90.00
Element x y z (fractional)
Mg: 0.000 0.000 0.000
Cd: 0.324 0.500 0.704
Cd: 0.427 0.000 0.749
Cd: 0.683 0.000 0.313
Cd: 0.814 0.500 0.202
Tc: 0.342 0.259 0.214
Tc: 0.342 0.741 0.214
Tc: 0.863 0.263 0.702
Tc: 0.863 0.737 0.702
O: 0.051 0.316 0.407
O: 0.051 0.684 0.407
O: 0.172 0.207 0.896
O: 0.172 0.793 0.896
O: 0.259 0.000 0.281
O: 0.405 0.500 0.113
O: 0.542 0.289 0.523
O: 0.542 0.711 0.523
O: 0.674 0.193 0.017
O: 0.674 0.807 0.017
O: 0.846 0.000 0.655
O: 0.894 0.500 0.808

Top 8 peaks for 5 to 70 degrees two-theta, in order of rising 2θ:
- hkl 0 0 2, 2θ = 31.38°, 2.850 Å, I 43
- hkl 1 2 -1, 2θ = 31.51°, 2.839 Å, I 77
- hkl 1 2 1, 2θ = 31.95°, 2.801 Å, I 100
- hkl 2 0 0, 2θ = 32.14°, 2.785 Å, I 28
- hkl 0 4 0, 2θ = 45.43°, 1.996 Å, I 30
- hkl 2 0 2, 2θ = 46.18°, 1.966 Å, I 21
- hkl 0 4 2, 2θ = 56.26°, 1.635 Å, I 18
- hkl 1 2 3, 2θ = 56.50°, 1.629 Å, I 18

---

(2)
Starting from DFT lattice parameters and positions (PBE), the X-ray powder pattern of MgCd4Tc4O12 was simulated for Cu Kα X-rays.

Unit cell a=5.458 b=5.875 c=8.059 alpha=95.90 beta=90.56 gamma=90.06
Element x y z (fractional)
Mg: 0.000 0.000 0.000
Cd: 0.011 0.124 0.413
Cd: 0.011 0.317 0.816
Cd: 0.510 0.610 0.938
Cd: 0.516 0.604 0.431
Tc: 0.004 0.630 0.166
Tc: 0.015 0.701 0.642
Tc: 0.507 0.146 0.152
Tc: 0.518 0.167 0.648
O: 0.118 0.683 0.402
O: 0.185 0.319 0.088
O: 0.209 0.990 0.716
O: 0.294 0.852 0.103
O: 0.329 0.490 0.696
O: 0.409 0.183 0.401
O: 0.651 0.156 0.903
O: 0.688 0.458 0.192
O: 0.723 0.889 0.581
O: 0.807 0.387 0.579
O: 0.808 0.948 0.201
O: 0.906 0.684 0.901

Top 8 peaks for 5 to 70 degrees two-theta, in order of rising 2θ:
- hkl 1 1 -2, 2θ = 30.38°, 2.942 Å, I 31
- hkl 0 2 0, 2θ = 30.59°, 2.922 Å, I 65
- hkl -1 1 2, 2θ = 32.64°, 2.744 Å, I 52
- hkl 2 0 0, 2θ = 32.86°, 2.726 Å, I 100
- hkl 2 -2 0, 2θ = 45.48°, 1.995 Å, I 30
- hkl 1 3 2, 2θ = 57.32°, 1.607 Å, I 17
- hkl -3 1 2, 2θ = 58.30°, 1.583 Å, I 16
- hkl 0 2 4, 2θ = 58.46°, 1.579 Å, I 15